(1)
This entry pairs a crystal structure of NbIBrCl2 with its calculated X-ray powder pattern. Radiation: CuKα. Structure: DFT lattice parameters and positions (PBE).
No peak broadening, texture or thermal motion is included.

Crystal structure
```
data_NbIBrCl2
_symmetry_space_group_name_H-M 'P 1'
_symmetry_Int_Tables_number 1
_cell_length_a 7.5820
_cell_length_b 7.5820
_cell_length_c 7.5820
_cell_angle_alpha 122.34
_cell_angle_beta 111.69
_cell_angle_gamma 95.49
loop_
_symmetry_equiv_pos_as_xyz
'x,y,z'
loop_
_atom_site_label
_atom_site_type_symbol
_atom_site_fract_x
_atom_site_fract_y
_atom_site_fract_z
Nb1 Nb 0.0000 0.2180 0.2180
Nb2 Nb 0.0000 0.7820 0.7820
I1 I 0.2215 0.2215 0.0000
I2 I 0.7785 0.7785 0.0000
Br1 Br 0.1734 0.6734 0.5000
Br2 Br 0.8266 0.3266 0.5000
Cl1 Cl 0.2736 0.2408 0.5144
Cl2 Cl 0.2736 0.7592 0.0329
Cl3 Cl 0.7264 0.2408 0.9671
Cl4 Cl 0.7264 0.7592 0.4856
```

Principal peaks in the range 2θ from 5° to 70°, sorted by position:
Position (°2θ)	I (rel.)
13.5	100.0
20.9	46.7
30.1	73.6
36.9	27.4
37.6	37.5
42.5	25.3
48.7	24.5
52.9	26.0



(2)
This entry pairs a crystal structure of Gd2TmIn3Co2Cu with its calculated X-ray powder pattern. Radiation: CuKα. Structure: DFT lattice parameters and positions (PBE).
No peak broadening, texture or thermal motion is included.

Crystal structure
```
data_Gd2TmIn3Co2Cu
_symmetry_space_group_name_H-M 'P 1'
_symmetry_Int_Tables_number 1
_cell_length_a 3.8959
_cell_length_b 7.3770
_cell_length_c 7.3770
_cell_angle_alpha 119.93
_cell_angle_beta 90.00
_cell_angle_gamma 90.00
loop_
_symmetry_equiv_pos_as_xyz
'x,y,z'
loop_
_atom_site_label
_atom_site_type_symbol
_atom_site_fract_x
_atom_site_fract_y
_atom_site_fract_z
Gd1 Gd 0.0000 0.2069 0.7931
Gd2 Gd 0.0000 0.7931 0.2069
Tm1 Tm 0.0000 0.3801 0.3801
In1 In 0.5000 0.0527 0.0527
In2 In 0.5000 0.5349 0.7907
In3 In 0.5000 0.7907 0.5349
Co1 Co 0.5000 0.1285 0.4585
Co2 Co 0.5000 0.4585 0.1285
Cu1 Cu 0.0000 0.7912 0.7912
```

Principal peaks in the range 2θ from 5° to 70°, sorted by position:
Position (°2θ)	I (rel.)
33.4	100.0
36.4	76.9
37.2	50.3
42.4	22.1
46.6	21.3
57.1	23.1
61.1	23.2
68.4	24.1